1.
BN: theoretical powder X-ray diffraction pattern (CuKα), based on a structure optimized by DFT (PBE).
Lines closer than 0.1° are merged.

Main lines, sorted by position (2θ from 15° to 90°):
| d_spacing | 2θ (°) | intensity | index |
| --- | --- | --- | --- |
| 3.541 | 25.2 | 100 | 0 0 2 |
| 2.176 | 41.5 | 4 | 1 0 0 |
| 2.080 | 43.5 | 20 | 1 0 1 |
| 1.854 | 49.1 | 4 | 1 0 2 |
| 1.770 | 51.6 | 8 | 0 0 4 |
| 1.600 | 57.6 | 7 | 1 0 3 |
| 1.256 | 75.7 | 6 | 1 1 0 |
| 1.187 | 81.0 | 2 | 1 0 5 |
| 1.184 | 81.2 | 9 | 1 1 2 |
| 1.180 | 81.6 | 2 | 0 0 6 |

Structural model:
Unit cell a=2.513 b=2.513 c=7.082 alpha=90.00 beta=90.00 gamma=120.00
Fractional coordinates of all 4 atoms:
B1 0.000 0.000 0.000
B2 0.333 0.667 0.500
N1 0.333 0.667 0.000
N2 0.667 0.333 0.500


2.
BN: theoretical powder X-ray diffraction pattern (CuKα), based on a structure optimized by DFT (PBE).
Lines closer than 0.1° are merged.

Main lines, sorted by position (2θ from 15° to 90°):
| d_spacing | 2θ (°) | intensity | index |
| --- | --- | --- | --- |
| 4.134 | 21.5 | 100 | 0 0 2 |
| 2.175 | 41.5 | 7 | 1 0 0 |
| 2.104 | 43.0 | 6 | 1 0 1 |
| 2.067 | 43.8 | 9 | 0 0 4 |
| 1.925 | 47.2 | 8 | 1 0 2 |
| 1.707 | 53.7 | 3 | 1 0 3 |
| 1.498 | 61.9 | 2 | 1 0 4 |
| 1.378 | 68.0 | 2 | 0 0 6 |
| 1.256 | 75.7 | 4 | 1 1 0 |
| 1.202 | 79.8 | 6 | 1 1 2 |

Structural model:
Unit cell a=2.512 b=2.512 c=8.268 alpha=90.00 beta=90.00 gamma=120.00
Fractional coordinates of all 4 atoms:
B1 0.333 0.667 0.250
B2 0.667 0.333 0.750
N1 0.000 0.000 0.250
N2 0.000 0.000 0.750